For Na6GaP3, a DFT-relaxed cell (PBE, the Materials Project) gives the simulated X-ray powder pattern in this record (Cu Kα).
Kinematic intensities with the Lorentz-polarization factor, no thermal factor.

Structural model:
```
data_Na6GaP3
_chemical_formula_sum 'Na24 Ga4 P12'
_cell_length_a 8.052
_cell_length_b 8.118
_cell_length_c 16.042
_cell_angle_alpha 95.83
_cell_angle_beta 94.00
_cell_angle_gamma 119.65
_symmetry_space_group_name_H-M 'P 1'
_symmetry_Int_Tables_number 1
loop_
_symmetry_equiv_pos_as_xyz
'x,y,z'
loop_
_atom_site_label
_atom_site_type_symbol
_atom_site_fract_x
_atom_site_fract_y
_atom_site_fract_z
Na1 Na 0.000 0.000 0.000
Na2 Na 0.001 0.291 0.882
Na3 Na 0.063 0.777 0.126
Na4 Na 0.081 0.394 0.252
Na5 Na 0.124 0.878 0.502
Na6 Na 0.144 0.166 0.375
Na7 Na 0.216 0.887 0.690
Na8 Na 0.297 0.298 0.748
Na9 Na 0.313 0.708 0.986
Na10 Na 0.338 0.048 0.889
Na11 Na 0.411 0.728 0.191
Na12 Na 0.413 0.797 0.388
Na13 Na 0.416 0.107 0.262
Na14 Na 0.526 0.531 0.480
Na15 Na 0.543 0.233 0.608
Na16 Na 0.603 0.942 0.770
Na17 Na 0.619 0.642 0.889
Na18 Na 0.703 0.706 0.659
Na19 Na 0.729 0.375 0.991
Na20 Na 0.731 0.061 0.117
Na21 Na 0.734 0.440 0.187
Na22 Na 0.814 0.106 0.494
Na23 Na 0.836 0.457 0.394
Na24 Na 0.917 0.267 0.683
Ga1 Ga 0.218 0.557 0.595
Ga2 Ga 0.371 0.378 0.096
Ga3 Ga 0.774 0.790 0.281
Ga4 Ga 0.939 0.613 0.787
P1 P 0.067 0.778 0.308
P2 P 0.076 0.389 0.070
P3 P 0.206 0.257 0.564
P4 P 0.246 0.620 0.793
P5 P 0.392 0.093 0.070
P6 P 0.475 0.486 0.293
P7 P 0.489 0.854 0.574
P8 P 0.659 0.320 0.807
P9 P 0.669 0.681 0.081
P10 P 0.753 0.074 0.309
P11 P 0.906 0.543 0.585
P12 P 0.956 0.922 0.815
```

Top 10 peaks for 2θ = 15–90°, in order of falling intensity:
- 38.65°, rel. 100, (3 -3 0)
- 38.27°, rel. 97, (0 3 -1)
- 38.60°, rel. 93, (3 0 -1)
- 37.88°, rel. 89, (-1 2 5)
- 37.43°, rel. 88, (2 -1 5)
- 37.54°, rel. 79, (1 1 -6)
- 22.50°, rel. 65, (0 0 4)
- 15.58°, rel. 41, (0 1 -2)
- 34.48°, rel. 40, (1 1 4)
- 15.80°, rel. 39, (1 0 -2)

=====

For Na3Sr3GaP4, a DFT-relaxed cell (PBE, the Materials Project) gives the simulated X-ray powder pattern in this record (Cu Kα).
Kinematic intensities with the Lorentz-polarization factor, no thermal factor.

Structural model:
```
data_Na3Sr3GaP4
_chemical_formula_sum 'Na6 Sr6 Ga2 P8'
_cell_length_a 9.4303
_cell_length_b 9.4303
_cell_length_c 7.4074
_cell_angle_alpha 90.00
_cell_angle_beta 90.00
_cell_angle_gamma 120.00
_symmetry_space_group_name_H-M 'P 63 m c'
_symmetry_Int_Tables_number 186
_symmetry_space_group_name_Hall 'P 6c -2c'
loop_
_atom_site_label
_atom_site_type_symbol
_atom_site_fract_x
_atom_site_fract_y
_atom_site_fract_z
Na1 Na 0.1348 0.2696 0.0000
Sr1 Sr 0.0460 0.5230 0.3296
Ga1 Ga 0.3333 0.6667 0.7054
P1 P 0.1906 0.3813 0.6102
P2 P 0.3333 0.6667 0.0450
```

Top 10 peaks for 2θ = 15–90°, in order of falling intensity:
- 32.64°, rel. 100, (2 0 2)
- 38.15°, rel. 72, (2 2 0)
- 31.40°, rel. 60, (2 1 1)
- 62.18°, rel. 25, (3 2 3)
- 35.12°, rel. 21, (3 0 1)
- 26.42°, rel. 20, (1 0 2)
- 21.76°, rel. 18, (2 0 0)
- 28.93°, rel. 16, (2 1 0)
- 57.80°, rel. 16, (5 0 1)
- 51.08°, rel. 15, (4 0 2)